1.
Simulated XRD peak list
Compound: Rb2PbF7
Radiation: Cu Kα (λ = 1.5418 Å)
Structure: a structure optimized by DFT (PBE)
Neutral-atom scattering factors, no anomalous dispersion.

a b c (Å): 14.974 6.662 10.204
angles (deg): 90.00 132.83 90.00
Space group C2/c (No. 15)
Symmetry-distinct sites (fractional):
Rb: 0.172 0.038 0.081 [8 per cell]
Pb: 0.000 0.496 0.750 [4 per cell]
F: 0.000 0.167 0.250 [4 per cell]
F: 0.078 0.253 0.721 [8 per cell]
F: 0.094 0.344 0.182 [8 per cell]
F: 0.168 0.487 0.515 [8 per cell]

The 8 most intense peaks (10 to 90 degrees two-theta), low angle first:
two_theta  I (rel.)  (hkl)
15.56  46.6  1 1 0
23.40  100.0  1 1 -2
23.82  56.5  4 0 -2
26.76  31.2  0 2 0
27.81  51.6  3 1 0
36.14  44.5  4 2 -2
38.69  33.7  5 1 -4
47.88  32.9  2 2 -4

***

2.
Simulated XRD peak list
Compound: In2Se
Radiation: Cu Kα (λ = 1.5418 Å)
Structure: a structure optimized by DFT (PBE)
Neutral-atom scattering factors, no anomalous dispersion.

a b c (Å): 4.2506 4.2506 5.5220
angles (deg): 90.00 90.00 120.00
Space group P-3m1 (No. 164)
Symmetry-distinct sites (fractional):
In: 0.3333 0.6667 0.1941 [2 per cell]
Se: 0.0000 0.0000 0.5000 [1 per cell]

The 8 most intense peaks (10 to 90 degrees two-theta), low angle first:
two_theta  I (rel.)  (hkl)
29.16  100.0  1 0 1
40.86  35.8  0 1 2
42.54  34.3  1 1 0
52.40  18.8  0 2 1
60.45  10.9  2 0 2
67.29  14.0  1 1 3
69.70  15.6  2 1 1
76.70  10.8  1 2 2

***

3.
Simulated XRD peak list
Compound: Zn3S2O9
Radiation: Cu Kα (λ = 1.5418 Å)
Structure: a structure optimized by DFT (PBE)
Neutral-atom scattering factors, no anomalous dispersion.

a b c (Å): 7.522 6.726 8.072
angles (deg): 90.00 117.76 90.00
Space group P2_1/m (No. 11)
Symmetry-distinct sites (fractional):
Zn: 0.000 0.000 0.000 [2 per cell]
Zn: 0.143 0.250 0.758 [2 per cell]
Zn: 0.384 0.250 0.244 [2 per cell]
S: 0.157 0.750 0.707 [2 per cell]
S: 0.451 0.750 0.293 [2 per cell]
O: 0.081 0.750 0.502 [2 per cell]
O: 0.086 0.571 0.768 [4 per cell]
O: 0.128 0.250 0.000 [2 per cell]
O: 0.317 0.571 0.233 [4 per cell]
O: 0.379 0.750 0.798 [2 per cell]
O: 0.419 0.250 0.503 [2 per cell]
O: 0.421 0.250 0.801 [2 per cell]

The 8 most intense peaks (10 to 90 degrees two-theta), low angle first:
two_theta  I (rel.)  (hkl)
22.09  57.4  1 0 1
23.66  53.5  2 0 -1
24.93  51.8  0 0 2
26.50  49.0  0 2 0
29.77  60.9  1 2 0
34.64  100.0  2 0 1
35.82  60.1  2 2 -1
36.71  51.9  0 2 2